Structure and simulated powder X-ray diffraction pattern of Li4Cr3FeO8 (a cell relaxed with GGA+U; Cu Kα, 1.54184 Å).
Kinematic intensities with the Lorentz-polarization factor, no thermal factor.

Principal peaks in the range 10 to 90 degrees two-theta, sorted by position:
two_theta, I/Imax
18.35, 100
35.70, 40
37.33, 11
43.33, 79
47.43, 12
57.25, 9
62.85, 21
63.04, 22
66.27, 14
79.59, 10

Cell and atoms:
a = 5.107 Å, b = 5.126 Å, c = 5.899 Å
α = 106.70°, β = 90.01°, γ = 99.56°
Space group P-1 (No. 2)
Asymmetric unit:
Li 0.244 0.498 0.376 [2 per cell]
Li 0.251 0.495 0.872 [2 per cell]
Cr 0.000 0.000 0.000 [1 per cell]
Cr 0.500 0.000 0.252 [2 per cell]
Fe 0.000 0.000 0.500 [1 per cell]
O 0.127 0.776 0.198 [2 per cell]
O 0.128 0.777 0.691 [2 per cell]
O 0.366 0.224 0.556 [2 per cell]
O 0.372 0.226 0.057 [2 per cell]